# 1
Theoretical powder X-ray diffraction pattern
Compound: Dy2InGe2
Radiation: a wavelength of 1.5418 Å
Structure: a GGA-PBE-relaxed structure
Lines closer than 0.1° are merged.

```
Dy2InGe2
1.0
7.4402 0.0000 0.0000
0.0000 7.4402 0.0000
0.0000 0.0000 4.1816
Dy In Ge
4 2 4
direct
0.1779 0.3221 0.0000
0.3221 0.8221 0.0000
0.6779 0.1779 0.0000
0.8221 0.6779 0.0000
0.0000 0.0000 0.5000
0.5000 0.5000 0.5000
0.1219 0.6219 0.5000
0.3781 0.1219 0.5000
0.6219 0.8781 0.5000
0.8781 0.3781 0.5000
```

Principal peaks in the range 2θ from 10° to 90°, by angle:
2θ (°)  d/Å  Rel. int.
26.8  3.327  12.9
32.2  2.779  56.0
34.1  2.631  13.4
34.4  2.604  100.0
38.3  2.353  36.4
43.3  2.091  20.9
50.6  1.805  12.8
55.5  1.657  17.3
56.9  1.617  13.6
59.1  1.563  20.1



# 2
Theoretical powder X-ray diffraction pattern
Compound: LiCu2C2O7
Radiation: a wavelength of 1.5418 Å
Structure: a GGA-PBE-relaxed structure
Lines closer than 0.1° are merged.

```
LiCu2C2O7
1.0
10.0961 0.0000 0.0000
0.0000 5.6758 0.0000
-3.6171 0.0000 9.2799
Li Cu C O
4 8 8 28
direct
0.0162 0.0662 0.2509
0.0162 0.4338 0.7509
0.9838 0.5662 0.2491
0.9838 0.9338 0.7491
0.3792 0.6617 0.9687
0.3792 0.8383 0.4687
0.4730 0.1338 0.2139
0.4730 0.3662 0.7139
0.5270 0.6338 0.2861
0.5270 0.8662 0.7861
0.6208 0.1617 0.5313
0.6208 0.3383 0.0313
0.1407 0.7478 0.0460
0.1407 0.7522 0.5460
0.2807 0.1267 0.8144
0.2807 0.3733 0.3144
0.7193 0.6267 0.6856
0.7193 0.8733 0.1856
0.8593 0.2478 0.4540
0.8593 0.2522 0.9540
0.0655 0.6888 0.9184
0.0655 0.8112 0.4184
0.0956 0.7037 0.6459
0.0956 0.7963 0.1459
0.1751 0.1353 0.8505
0.1751 0.3647 0.3505
0.2823 0.7403 0.5851
0.2823 0.7597 0.0851
0.3013 0.2108 0.2328
0.3013 0.2892 0.7328
0.3785 0.5447 0.3602
0.3785 0.9553 0.8602
0.4818 0.0748 0.6145
0.4818 0.4252 0.1145
0.5182 0.5748 0.8855
0.5182 0.9252 0.3855
0.6215 0.0447 0.1398
0.6215 0.4553 0.6398
0.6987 0.7108 0.2672
0.6987 0.7892 0.7672
0.7177 0.2403 0.9149
0.7177 0.2597 0.4149
0.8249 0.6353 0.6495
0.8249 0.8647 0.1495
0.9044 0.2037 0.8541
0.9044 0.2963 0.3541
0.9345 0.1888 0.5816
0.9345 0.3112 0.0816
```

Principal peaks in the range 2θ from 10° to 90°, by angle:
2θ (°)  d/Å  Rel. int.
18.3  4.857  29.4
18.9  4.701  23.7
29.0  3.080  100.0
33.0  2.716  30.4
33.4  2.685  48.4
35.5  2.532  46.0
36.0  2.495  21.0
36.4  2.467  51.3
43.3  2.091  27.3
46.7  1.944  23.6



# 3
Theoretical powder X-ray diffraction pattern
Compound: Mg6FeCo
Radiation: a wavelength of 1.5418 Å
Structure: a GGA-PBE-relaxed structure
Lines closer than 0.1° are merged.

```
Mg6FeCo
1.0
4.6271 0.0000 0.0000
0.0000 5.8460 0.0000
0.0000 0.0000 10.1740
Mg Fe Co
12 2 2
direct
0.0000 0.0000 0.0000
0.0000 0.0000 0.4998
0.0000 0.2489 0.2663
0.0000 0.2511 0.7663
0.0000 0.5000 0.9998
0.0000 0.5000 0.5000
0.0000 0.7489 0.7663
0.0000 0.7511 0.2663
0.5000 0.2505 0.0954
0.5000 0.2495 0.5954
0.5000 0.7495 0.0954
0.5000 0.7505 0.5954
0.5000 0.0000 0.3471
0.5000 0.5000 0.8471
0.5000 0.0000 0.8473
0.5000 0.5000 0.3473
```

Principal peaks in the range 2θ from 10° to 90°, by angle:
2θ (°)  d/Å  Rel. int.
17.4  5.087  25.2
19.2  4.627  15.5
35.4  2.534  32.7
38.9  2.314  38.4
40.5  2.229  55.1
40.6  2.223  100.0
53.6  1.709  25.6
63.4  1.467  15.9
71.6  1.318  25.7
77.0  1.239  17.2



# 4
Theoretical powder X-ray diffraction pattern
Compound: Er4InNi2Ge4
Radiation: a wavelength of 1.5418 Å
Structure: a GGA-PBE-relaxed structure
Lines closer than 0.1° are merged.

```
Er4InNi2Ge4
1.0
7.7047 -2.1049 0.0000
7.7047 2.1049 0.0000
-2.2429 0.0000 6.6442
Er In Ni Ge
4 1 2 4
direct
0.0915 0.0915 0.3911
0.1559 0.1559 0.9375
0.8441 0.8441 0.0625
0.9085 0.9085 0.6089
0.5000 0.5000 0.0000
0.2825 0.2825 0.3593
0.7175 0.7175 0.6407
0.2975 0.2975 0.7322
0.4342 0.4342 0.3373
0.5658 0.5658 0.6627
0.7025 0.7025 0.2678
```

Principal peaks in the range 2θ from 10° to 90°, by angle:
2θ (°)  d/Å  Rel. int.
28.0  3.184  27.5
33.0  2.714  21.5
33.7  2.662  74.9
34.7  2.585  100.0
35.0  2.565  30.3
36.3  2.474  37.6
36.5  2.462  55.8
37.5  2.399  33.9
38.2  2.355  21.9
43.0  2.105  52.9



Which formula does entry 4 have? Er4InNi2Ge4